# Rb3Ga2Se4O14
Theoretical powder X-ray diffraction pattern, Cu Kα (λ = 1.5418 Å). Input: DFT lattice parameters and positions (GGA-PBE).

Peak list (12 most intense, 10 to 80 degrees two-theta, by angle)
Position (°2θ)  I/Imax  h k l
11.72  26  0 2 1
18.53  17  1 1 2
21.93  23  0 2 3
23.65  14  1 1 3
24.50  26  2 0 0
27.24  18  2 2 1
27.49  100  1 3 3
27.84  22  2 0 2
29.47  38  0 6 0
32.24  34  2 4 1
45.00  26  3 3 3
47.27  16  2 0 6

Atomic structure:
a = 7.267 Å, b = 18.153 Å, c = 13.589 Å
α = 90.00°, β = 90.00°, γ = 90.00°
Space group Cmce (No. 64)
Asymmetric unit:
Rb1 0.000 0.000 0.000
Rb2 0.000 0.184 0.465
Ga1 0.250 0.171 0.750
Se1 0.000 0.038 0.678
Se2 0.000 0.195 0.170
O1 0.000 0.032 0.403
O2 0.000 0.141 0.070
O3 0.000 0.175 0.798
O4 0.188 0.248 0.647
O5 0.190 0.091 0.647